Diffraction record for Ca2InP2. The powder diffractogram is simulated, not measured: it uses a structure optimized by DFT (GGA-PBE) and Cu Kα, 1.54184 Å.
No peak broadening, texture or thermal motion is included.

Most intense lines, 10° ≤ 2θ ≤ 90°, most intense first:
- 2θ 37.55, I = 100, (3 1 0)
- 2θ 27.94, I = 98, (1 1 1)
- 2θ 34.78, I = 80, (2 1 1)
- 2θ 32.64, I = 49, (2 0 1)
- 2θ 60.50, I = 46, (3 1 2)
- 2θ 16.55, I = 45, (1 1 0)
- 2θ 44.13, I = 34, (3 1 1)
- 2θ 33.46, I = 33, (2 2 0)
- 2θ 40.61, I = 31, (2 2 1)
- 2θ 45.60, I = 25, (0 0 2)

Crystal structure
a b c (Å): 7.575 7.575 3.979
angles (deg): 90.00 90.00 90.00
Positions (direct):
Ca 0.148 0.352 0.000
Ca 0.352 0.852 0.000
Ca 0.648 0.148 0.000
Ca 0.852 0.648 0.000
In 0.000 0.000 0.500
In 0.500 0.500 0.500
P 0.162 0.662 0.500
P 0.338 0.162 0.500
P 0.662 0.838 0.500
P 0.838 0.338 0.500

---

Diffraction record for LiUNbO6. The powder diffractogram is simulated, not measured: it uses a structure optimized by DFT (GGA-PBE) and Cu Kα, 1.54184 Å.
No peak broadening, texture or thermal motion is included.

Most intense lines, 10° ≤ 2θ ≤ 90°, most intense first:
- 2θ 18.75, I = 100, (0 0 2)
- 2θ 37.61, I = 96, (1 1 2)
- 2θ 18.49, I = 78, (1 0 0)
- 2θ 26.45, I = 67, (1 0 2)
- 2θ 32.30, I = 55, (1 1 0)
- 2θ 50.74, I = 54, (1 1 4)
- 2θ 20.75, I = 48, (1 0 1)
- 2θ 61.15, I = 25, (3 0 2)
- 2θ 57.61, I = 22, (3 0 0)
- 2θ 70.84, I = 20, (4 -2 2)

Crystal structure
a b c (Å): 5.542 5.542 9.464
angles (deg): 90.00 90.00 120.00
Positions (direct):
Li 0.000 0.000 0.000
Li 0.000 0.000 0.500
U 0.333 0.667 0.250
U 0.667 0.333 0.750
Nb 0.333 0.667 0.750
Nb 0.667 0.333 0.250
O 0.009 0.370 0.638
O 0.009 0.639 0.862
O 0.361 0.370 0.862
O 0.361 0.991 0.638
O 0.370 0.009 0.138
O 0.370 0.361 0.362
O 0.630 0.639 0.638
O 0.630 0.991 0.862
O 0.639 0.009 0.362
O 0.639 0.630 0.138
O 0.991 0.361 0.138
O 0.991 0.630 0.362